Li3Ni8O16: theoretical powder diffraction line list (Cu Kα, 1.54184 Å), based on a GGA+U-relaxed structure.

Main lines, by intensity (5 to 70 degrees two-theta):
| hkl | 2θ (°) | d_spacing | I_rel |
| --- | --- | --- | --- |
| 0 1 1 | 17.54 | 5.058 | 100 |
| 1 0 -4 | 42.76 | 2.115 | 15 |
| 2 1 1 | 42.95 | 2.106 | 15 |
| 1 -3 1 | 45.54 | 1.992 | 13 |
| 1 -2 2 | 37.32 | 2.409 | 12 |
| 2 2 2 | 55.15 | 1.665 | 11 |
| 1 1 -3 | 36.47 | 2.464 | 9 |
| 2 0 0 | 36.90 | 2.436 | 8 |
| 0 2 2 | 35.50 | 2.529 | 5 |
| 1 -1 3 | 37.15 | 2.420 | 4 |
| 1 1 5 | 58.54 | 1.577 | 4 |
| 1 4 0 | 62.86 | 1.478 | 4 |

Atomic structure:
```
Li3Ni8O16
1.0
4.901 0.000 0.000
-0.567 6.410 0.000
-0.544 -0.673 9.097
Li Ni O
3 8 16
direct
0.000 0.000 0.000
0.391 0.348 0.651
0.609 0.652 0.349
0.245 0.181 0.305
0.248 0.439 0.060
0.249 0.923 0.561
0.253 0.689 0.822
0.747 0.311 0.178
0.751 0.077 0.439
0.752 0.561 0.940
0.755 0.819 0.695
0.092 0.446 0.240
0.100 0.691 0.007
0.115 0.191 0.503
0.115 0.937 0.775
0.389 0.668 0.636
0.390 0.192 0.107
0.401 0.439 0.872
0.413 0.920 0.368
0.587 0.080 0.632
0.599 0.561 0.128
0.610 0.808 0.893
0.611 0.332 0.364
0.885 0.063 0.225
0.885 0.809 0.497
0.900 0.309 0.993
0.908 0.554 0.760
```